The following is a theoretical powder diffraction line list of Dy2PaMnC4. It was derived from a structure optimized by DFT (GGA-PBE), using CuKα.

Lattice parameters (Å, degrees): 5.9898 5.9898 11.9266 90.00 90.00 146.67
Fractional coordinates of all 16 atoms:
Dy1 0.1328 0.8672 0.5456
Dy2 0.1328 0.8672 0.9544
Dy3 0.8672 0.1328 0.0456
Dy4 0.8672 0.1328 0.4544
Pa1 0.4116 0.5884 0.7500
Pa2 0.5884 0.4116 0.2500
Mn1 0.3280 0.6720 0.2500
Mn2 0.6720 0.3280 0.7500
C1 0.0760 0.9240 0.7500
C2 0.2253 0.7747 0.1395
C3 0.2253 0.7747 0.3605
C4 0.5000 0.5000 0.0000
C5 0.5000 0.5000 0.5000
C6 0.7747 0.2253 0.6395
C7 0.7747 0.2253 0.8605
C8 0.9240 0.0760 0.2500

Most intense lines, 10 to 80 degrees two-theta, low angle first:
- 2θ = 27.29°, I = 714
- 2θ = 29.97°, I = 333
- 2θ = 31.04°, I = 1000
- 2θ = 31.17°, I = 347
- 2θ = 35.93°, I = 457
- 2θ = 38.31°, I = 368
- 2θ = 47.05°, I = 242
- 2θ = 50.19°, I = 192
- 2θ = 52.47°, I = 281
- 2θ = 53.29°, I = 339

=====

The following is a theoretical powder diffraction line list of DyPu2MnC4. It was derived from a structure optimized by DFT (GGA-PBE), using CuKα.

Lattice parameters (Å, degrees): 5.8587 5.8587 11.9708 90.00 90.00 145.40
Fractional coordinates of all 16 atoms:
Dy1 0.1046 0.8954 0.7500
Dy2 0.8954 0.1046 0.2500
Pu1 0.3683 0.6317 0.5453
Pu2 0.3683 0.6317 0.9547
Pu3 0.6317 0.3683 0.0453
Pu4 0.6317 0.3683 0.4547
Mn1 0.1652 0.8348 0.2500
Mn2 0.8348 0.1652 0.7500
C1 0.0000 0.0000 0.0000
C2 0.0000 0.0000 0.5000
C3 0.2637 0.7363 0.1305
C4 0.2637 0.7363 0.3695
C5 0.4184 0.5816 0.7500
C6 0.5816 0.4184 0.2500
C7 0.7363 0.2637 0.6305
C8 0.7363 0.2637 0.8695

Most intense lines, 10 to 80 degrees two-theta, low angle first:
- 2θ = 14.80°, I = 246
- 2θ = 27.46°, I = 812
- 2θ = 29.86°, I = 287
- 2θ = 30.75°, I = 1000
- 2θ = 32.00°, I = 511
- 2θ = 36.06°, I = 259
- 2θ = 38.42°, I = 668
- 2θ = 46.74°, I = 339
- 2θ = 52.49°, I = 441
- 2θ = 62.82°, I = 261